No. 1
Structure and calculated powder X-ray diffraction pattern of Li2TeF6 (DFT lattice parameters and positions (PBE); copper Kα).
Neutral-atom scattering factors, no anomalous dispersion.

Crystal structure
Unit cell a=9.1755 b=9.1755 c=4.7508 alpha=90.00 beta=90.00 gamma=120.00
Sites, in units of the cell vectors:
1 Li 0.0000 0.3494 0.0000
2 Li 0.0000 0.6506 0.0000
3 Li 0.3494 0.0000 0.0000
4 Li 0.3494 0.3494 0.0000
5 Li 0.6506 0.0000 0.0000
6 Li 0.6506 0.6506 0.0000
7 Te 0.0000 0.0000 0.0000
8 Te 0.3333 0.6667 0.5107
9 Te 0.6667 0.3333 0.4893
10 F 0.1058 0.5529 0.7607
11 F 0.1162 0.2323 0.7929
12 F 0.1162 0.8838 0.7929
13 F 0.2301 0.4602 0.2495
14 F 0.2301 0.7699 0.2495
15 F 0.2323 0.1162 0.2071
16 F 0.4471 0.5529 0.7607
17 F 0.4471 0.8942 0.7607
18 F 0.4602 0.2301 0.7505
19 F 0.5398 0.7699 0.2495
20 F 0.5529 0.1058 0.2393
21 F 0.5529 0.4471 0.2393
22 F 0.7677 0.8838 0.7929
23 F 0.7699 0.2301 0.7505
24 F 0.7699 0.5398 0.7505
25 F 0.8838 0.1162 0.2071
26 F 0.8838 0.7677 0.2071
27 F 0.8942 0.4471 0.2393

Peak list (12 most intense, 2θ from 5° to 70°, in order of falling intensity)
2θ 19.35, I 100
2θ 21.80, I 81
2θ 35.36, I 38
2θ 51.69, I 35
2θ 29.30, I 35
2θ 38.93, I 26
2θ 42.87, I 25
2θ 66.79, I 22
2θ 45.36, I 20
2θ 60.55, I 17
2θ 39.28, I 16
2θ 53.87, I 15

---

No. 2
Structure and calculated powder X-ray diffraction pattern of LiThF5 (DFT lattice parameters and positions (PBE); copper Kα).
Neutral-atom scattering factors, no anomalous dispersion.

Crystal structure
Unit cell a=11.2653 b=11.2653 c=11.2653 alpha=95.05 beta=95.05 gamma=145.48
Sites, in units of the cell vectors:
1 Li 0.1638 0.0596 0.2670
2 Li 0.2926 0.8968 0.2330
3 Li 0.3968 0.6638 0.6042
4 Li 0.4404 0.2074 0.1042
5 Li 0.5596 0.7926 0.8958
6 Li 0.6032 0.3362 0.3958
7 Li 0.7074 0.1032 0.7670
8 Li 0.8362 0.9404 0.7330
9 Th 0.1874 0.6924 0.8828
10 Th 0.1924 0.8096 0.5050
11 Th 0.1953 0.3126 0.0050
12 Th 0.3096 0.3047 0.6172
13 Th 0.6904 0.6953 0.3828
14 Th 0.8047 0.6874 0.9950
15 Th 0.8076 0.1904 0.4950
16 Th 0.8126 0.3076 0.1172
17 F 0.0335 0.6090 0.2911
18 F 0.0383 0.0648 0.1150
19 F 0.0425 0.3379 0.1107
20 F 0.0871 0.0726 0.4103
21 F 0.1090 0.3179 0.5755
22 F 0.1513 0.9316 0.1209
23 F 0.1623 0.6768 0.0897
24 F 0.1621 0.7728 0.7046
25 F 0.1768 0.5871 0.5145
26 F 0.1821 0.2576 0.7911
27 F 0.2424 0.5335 0.9245
28 F 0.2728 0.0682 0.6107
29 F 0.3107 0.0304 0.3791
30 F 0.4233 0.5383 0.4735
31 F 0.4274 0.3377 0.0145
32 F 0.4318 0.5425 0.2046
33 F 0.4316 0.8107 0.7803
34 F 0.4352 0.0502 0.9735
35 F 0.4498 0.9233 0.3850
36 F 0.4696 0.3487 0.2803
37 F 0.5304 0.6513 0.7197
38 F 0.5502 0.0767 0.6150
39 F 0.5648 0.9498 0.0265
40 F 0.5684 0.1893 0.2197
41 F 0.5682 0.4575 0.7954
42 F 0.5726 0.6623 0.9855
43 F 0.5767 0.4617 0.5265
44 F 0.6893 0.9696 0.6209
45 F 0.7272 0.9318 0.3893
46 F 0.7576 0.4665 0.0755
47 F 0.8179 0.7424 0.2089
48 F 0.8232 0.4129 0.4855
49 F 0.8379 0.2272 0.2954
50 F 0.8377 0.3232 0.9103
51 F 0.8487 0.0684 0.8791
52 F 0.8910 0.6821 0.4245
53 F 0.9129 0.9274 0.5897
54 F 0.9575 0.6621 0.8893
55 F 0.9617 0.9352 0.8850
56 F 0.9665 0.3910 0.7089

Peak list (12 most intense, 2θ from 5° to 70°, in order of falling intensity)
2θ 18.61, I 100
2θ 16.48, I 86
2θ 26.20, I 68
2θ 29.18, I 62
2θ 43.17, I 61
2θ 24.95, I 54
2θ 22.00, I 54
2θ 27.61, I 52
2θ 42.86, I 36
2θ 47.83, I 26
2θ 32.33, I 25
2θ 46.51, I 24

---

No. 3
Structure and calculated powder X-ray diffraction pattern of Li3TlF6 (DFT lattice parameters and positions (PBE); copper Kα).
Neutral-atom scattering factors, no anomalous dispersion.

Crystal structure
Unit cell a=6.1274 b=6.1274 c=3.5427 alpha=90.00 beta=90.00 gamma=113.71
Sites, in units of the cell vectors:
1 Li 0.0000 0.0000 0.0000
2 Li 0.0000 0.5000 0.5000
3 Li 0.5000 0.0000 0.5000
4 Tl 0.5000 0.5000 0.0000
5 F 0.0876 0.3356 0.0000
6 F 0.3356 0.0876 0.0000
7 F 0.3556 0.6444 0.5000
8 F 0.6444 0.3556 0.5000
9 F 0.6644 0.9124 0.0000
10 F 0.9124 0.6644 0.0000

Peak list (12 most intense, 2θ from 5° to 70°, in order of falling intensity)
2θ 15.80, I 100
2θ 17.28, I 33
2θ 38.99, I 30
2θ 29.83, I 25
2θ 30.67, I 25
2θ 25.14, I 22
2θ 51.77, I 22
2θ 41.04, I 18
2θ 31.90, I 18
2θ 29.32, I 16
2θ 41.37, I 14
2θ 49.02, I 12

---

No. 4
Structure and calculated powder X-ray diffraction pattern of LiTl2F6 (DFT lattice parameters and positions (PBE); copper Kα).
Neutral-atom scattering factors, no anomalous dispersion.

Crystal structure
Unit cell a=5.5437 b=5.8642 c=9.1716 alpha=90.00 beta=118.38 gamma=90.00
Sites, in units of the cell vectors:
1 Li 0.0000 0.0000 0.0000
2 Li 0.0000 0.5000 0.5000
3 Tl 0.3128 0.1032 0.7740
4 Tl 0.3128 0.3968 0.2740
5 Tl 0.6872 0.6032 0.7260
6 Tl 0.6872 0.8968 0.2260
7 F 0.0469 0.0801 0.2194
8 F 0.0469 0.4199 0.7194
9 F 0.2806 0.6957 0.1055
10 F 0.2806 0.8043 0.6055
11 F 0.3489 0.1647 0.0542
12 F 0.3489 0.3353 0.5542
13 F 0.6511 0.6647 0.4458
14 F 0.6511 0.8353 0.9458
15 F 0.7194 0.1957 0.3945
16 F 0.7194 0.3043 0.8945
17 F 0.9531 0.5801 0.2806
18 F 0.9531 0.9199 0.7806

Peak list (12 most intense, 2θ from 5° to 70°, in order of falling intensity)
2θ 22.19, I 100
2θ 22.03, I 79
2θ 23.73, I 46
2θ 32.49, I 44
2θ 25.86, I 42
2θ 29.71, I 39
2θ 42.44, I 36
2θ 33.14, I 35
2θ 40.09, I 26
2θ 45.78, I 23
2θ 47.94, I 23
2θ 45.49, I 21

---

Question: Number 3 is which compound?
Answer: Li3TlF6